The following is a computed powder XRD pattern of CuH10C10S2N3Cl. It was derived from the PBE geometry in OQMD, using λ = 1.5418 Å (Cu Kα).
Lines closer than 0.1° are merged.

Main lines, low angle first (2θ = 10–80°):
- (1 0 0), 2θ = 13.00°, intensity 100
- (0 1 1), 2θ = 14.57°, intensity 31
- (1 1 0), 2θ = 14.81°, intensity 81
- (0 2 1), 2θ = 19.07°, intensity 24
- (1 2 0), 2θ = 19.26°, intensity 21
- (1 0 -2), 2θ = 24.04°, intensity 91
- (0 3 1), 2θ = 24.87°, intensity 19
- (2 0 -2), 2θ = 29.12°, intensity 90
- (2 1 -2), 2θ = 30.00°, intensity 23
- (3 0 -4), 2θ = 53.20°, intensity 19

Structure:
```
data_CuH10C10S2N3Cl
_cell_length_a 7.3318
_cell_length_b 12.5264
_cell_length_c 7.4866
_cell_angle_alpha 90.00
_cell_angle_beta 111.78
_cell_angle_gamma 90.00
_space_group_name_H-M_alt 'P 1 c 1'
_space_group_IT_number 7
_space_group_name_Hall 'P -2yc'
loop_
_atom_site_label
_atom_site_fract_x
_atom_site_fract_y
_atom_site_fract_z
_atom_site_occupancy
Cu1 0.0000 0.0458 0.0000 1
H1 0.0954 0.3676 0.5512 1
H2 0.4298 0.3523 0.8177 1
H3 0.4628 0.3364 0.4453 1
H4 0.4748 0.4779 0.4163 1
H5 0.5147 0.0348 0.4013 1
H6 0.5641 0.1701 0.9318 1
H7 0.6306 0.3061 0.2095 1
H8 0.7501 0.4600 0.8315 1
H9 0.8690 0.4459 0.2160 1
H10 0.9161 0.1994 0.4065 1
C1 0.0596 0.1974 0.5235 1
C2 0.1617 0.2905 0.6046 1
C3 0.1699 0.2617 0.1246 1
C4 0.3103 0.0911 0.7290 1
C5 0.3458 0.2815 0.7515 1
C6 0.3746 0.0169 0.2853 1
C7 0.4215 0.1807 0.8157 1
C8 0.4639 0.4002 0.3450 1
C9 0.6235 0.3851 0.2691 1
C10 0.7536 0.4606 0.2721 1
S1 0.2182 0.3980 0.1548 1
S2 0.9441 0.2270 0.9565 1
N1 0.1319 0.1006 0.5833 1
N2 0.2561 0.0923 0.1899 1
N3 0.3081 0.1954 0.2299 1
Cl1 0.7877 0.0085 0.2057 1
```